The following is a simulated XRD peak list of Mo2P3O12. It was derived from a structure optimized by DFT (GGA+U), using CuKα.

Top 8 peaks for 10° ≤ 2θ ≤ 90°, most intense first:
d [Å]	two_theta	I_rel
4.499	19.7	100.0
4.362	20.4	70.3
3.767	23.6	65.9
3.132	28.5	65.9
2.836	31.5	58.4
6.264	14.1	51.4
2.544	35.3	26.7
2.519	35.6	25.5

Atomic structure:
Cell lengths 8.723, 8.723, 9.003 Å; angles 90.09, 118.89, 119.96 degrees
Space group P-1 (No. 2)
Symmetry-distinct sites (fractional):
Mo  0.213  0.357  0.069
Mo  0.214  0.858  0.572
P  0.001  0.034  0.251
P  0.283  0.534  0.751
P  0.284  0.751  0.248
O  0.087  0.363  0.583
O  0.093  0.733  0.082
O  0.140  0.009  0.423
O  0.143  0.928  0.727
O  0.146  0.143  0.911
O  0.151  0.203  0.221
O  0.270  0.510  0.915
O  0.278  0.573  0.224
O  0.282  0.783  0.416
O  0.293  0.712  0.721
O  0.483  0.554  0.782
O  0.488  0.918  0.273

---

The following is a simulated XRD peak list of Li9Mn2Co5O16. It was derived from a structure optimized by DFT (GGA+U), using CuKα.

Top 8 peaks for 10° ≤ 2θ ≤ 90°, most intense first:
d [Å]	two_theta	I_rel
4.837	18.3	100.0
2.154	41.9	32.0
2.064	43.9	27.5
2.028	44.7	25.2
2.572	34.9	18.4
2.485	36.2	13.0
2.452	36.6	11.4
1.437	64.9	9.1

Atomic structure:
Cell lengths 2.980, 7.795, 12.567 Å; angles 89.17, 89.80, 81.46 degrees
Space group P1 (No. 1)
Symmetry-distinct sites (fractional):
Li  0.000  0.000  0.000
Li  0.046  0.881  0.682
Li  0.120  0.747  0.377
Li  0.237  0.502  0.743
Li  0.376  0.246  0.126
Li  0.506  0.994  0.507
Li  0.635  0.744  0.871
Li  0.750  0.498  0.247
Li  0.886  0.235  0.625
Mn  0.319  0.374  0.438
Mn  0.441  0.115  0.807
Co  0.185  0.625  0.061
Co  0.557  0.870  0.187
Co  0.671  0.633  0.568
Co  0.820  0.373  0.940
Co  0.943  0.120  0.311
O  0.006  0.957  0.839
O  0.059  0.794  0.533
O  0.138  0.690  0.208
O  0.233  0.552  0.913
O  0.306  0.444  0.586
O  0.365  0.305  0.288
O  0.409  0.195  0.960
O  0.461  0.066  0.665
O  0.522  0.937  0.333
O  0.556  0.804  0.037
O  0.664  0.672  0.705
O  0.688  0.560  0.418
O  0.822  0.446  0.086
O  0.867  0.288  0.789
O  0.953  0.183  0.460
O  0.974  0.056  0.163

---

The following is a simulated XRD peak list of Mn2O3F. It was derived from a structure optimized by DFT (GGA+U), using CuKα.

Top 8 peaks for 10° ≤ 2θ ≤ 90°, most intense first:
d [Å]	two_theta	I_rel
2.520	35.6	100.0
3.165	28.2	91.6
3.316	26.9	88.0
1.673	54.9	53.2
1.717	53.4	52.8
1.362	68.9	47.2
2.232	40.4	17.1
1.509	61.4	16.3

Atomic structure:
Cell lengths 9.054, 6.329, 6.632 Å; angles 90.00, 90.00, 90.00 degrees
Space group Amm2 (No. 38)
Symmetry-distinct sites (fractional):
Mn  0.000  0.000  0.000
Mn  0.167  0.000  0.525
Mn  0.333  0.000  0.044
Mn  0.500  0.000  0.512
O  0.000  0.000  0.712
O  0.167  0.192  0.020
O  0.332  0.000  0.334
O  0.500  0.195  0.036
F  0.000  0.000  0.304
F  0.343  0.000  0.734

---

The following is a simulated XRD peak list of KFeP2O7. It was derived from a structure optimized by DFT (GGA+U), using CuKα.

Top 8 peaks for 10° ≤ 2θ ≤ 90°, most intense first:
d [Å]	two_theta	I_rel
2.987	29.9	100.0
5.859	15.1	55.8
3.989	22.3	48.1
3.061	29.2	44.0
3.451	25.8	18.3
5.359	16.5	18.0
3.013	29.6	15.7
3.148	28.4	13.4

Atomic structure:
Cell lengths 7.489, 10.154, 8.328 Å; angles 90.00, 106.67, 90.00 degrees
Space group P2_1/c (No. 14)
Symmetry-distinct sites (fractional):
K  0.178  0.179  0.054
Fe  0.236  0.599  0.261
P  0.133  0.597  0.831
P  0.440  0.636  0.692
O  0.000  0.005  0.223
O  0.081  0.734  0.755
O  0.145  0.590  0.015
O  0.320  0.606  0.514
O  0.338  0.559  0.814
O  0.363  0.079  0.767
O  0.451  0.718  0.243